Simulated powder diffractogram of LaPmNdTl for Cu Kα (weighted mean of Kα1 and Kα2), from a PBE-relaxed structure.
No peak broadening, texture or thermal motion is included.

Atomic structure:
Unit cell a=6.251 b=6.251 c=6.251 alpha=133.61 beta=133.61 gamma=67.70
Atoms (fractional coordinates):
La: 0.000 0.000 0.000
Pm: 0.750 0.250 0.500
Nd: 0.250 0.750 0.500
Tl: 0.500 0.500 0.000

Main lines, by angle (10 to 80 degrees two-theta):
- 2θ = 30.93°, intensity 100.0
- 2θ = 34.56°, intensity 18.6
- 2θ = 36.50°, intensity 32.2
- 2θ = 51.14°, intensity 24.7
- 2θ = 59.67°, intensity 15.5
- 2θ = 62.25°, intensity 27.3